For Sr3V2RhO9, DFT lattice parameters and positions (PBE+U) gives the computed powder X-ray diffraction pattern in this record (Cu Ka).
No peak broadening, texture or thermal motion is included.

Structural model:
Cell: 5.5519 5.5519 6.7788 Å, 90.00 90.00 120.00°
Space group P-3m1 (No. 164)
Asymmetric unit:
Sr  0.0000  0.0000  0.0000
Sr  0.3333  0.6667  0.6674
V  0.3333  0.6667  0.1679
Rh  0.0000  0.0000  0.5000
O  0.0000  0.5000  0.0000
O  0.1698  0.3395  0.3251

Largest 12 diffraction maxima, in order of rising 2θ, 10 to 90 degrees two-theta:
2theta, d (Å), intensity, index
18.45, 4.808, 3, 1 0 0
32.28, 2.773, 100, 1 1 0
39.78, 2.266, 7, 0 2 1
39.90, 2.260, 2, 0 0 3
46.30, 1.961, 37, 2 0 2
57.53, 1.602, 29, 3 0 0
57.68, 1.598, 10, 1 0 4
67.48, 1.388, 11, 2 2 0
67.64, 1.385, 11, 0 2 4
76.81, 1.241, 8, 3 1 2
76.93, 1.239, 8, 2 1 4
85.76, 1.133, 5, 0 4 2